1.
Simulated powder diffractogram
Compound: K5Ni
Radiation: Cu Kα
Structure: the GGA-PBE geometry in Alexandria
Kinematic intensities with the Lorentz-polarization factor, no thermal factor.

Atomic structure:
a b c (Å): 9.208 9.208 5.969
angles (deg): 90.00 90.00 142.41
Sites, in units of the cell vectors:
K1 0.000 0.000 0.000
K2 0.142 0.858 0.500
K3 0.356 0.644 0.000
K4 0.644 0.356 0.000
K5 0.858 0.142 0.500
Ni1 0.500 0.500 0.500

Top 10 peaks for 2θ = 5–70°, in order of rising 2θ:
2θ/deg, I/Imax
10.15, 16
26.14, 100
29.94, 20
30.12, 19
30.77, 11
33.37, 16
42.99, 13
50.89, 14
51.13, 13
62.63, 9

***

2.
Simulated powder diffractogram
Compound: LiCe2Hg4
Radiation: Cu Kα
Structure: the GGA-PBE geometry in Alexandria
Kinematic intensities with the Lorentz-polarization factor, no thermal factor.

Atomic structure:
a b c (Å): 9.668 9.668 9.668
angles (deg): 29.33 29.33 29.33
Sites, in units of the cell vectors:
Li1 0.000 0.000 0.000
Ce1 0.250 0.250 0.250
Ce2 0.750 0.750 0.750
Hg1 0.135 0.135 0.135
Hg2 0.365 0.365 0.365
Hg3 0.635 0.635 0.635
Hg4 0.865 0.865 0.865

Top 10 peaks for 2θ = 5–70°, in order of rising 2θ:
2θ/deg, I/Imax
21.93, 43
24.61, 53
33.39, 100
36.72, 96
38.80, 40
50.47, 32
54.49, 15
64.02, 31
66.13, 17
67.51, 16

***

3.
Simulated powder diffractogram
Compound: HoIn5Hg8
Radiation: Cu Kα
Structure: the GGA-PBE geometry in Alexandria
Kinematic intensities with the Lorentz-polarization factor, no thermal factor.

Atomic structure:
a b c (Å): 7.966 7.966 8.649
angles (deg): 120.24 120.24 56.87
Sites, in units of the cell vectors:
Ho1 0.000 0.000 0.000
In1 0.150 0.091 0.487
In2 0.236 0.623 0.197
In3 0.377 0.764 0.803
In4 0.633 0.367 0.500
In5 0.909 0.850 0.513
Hg1 0.053 0.266 0.878
Hg2 0.104 0.530 0.756
Hg3 0.168 0.375 0.324
Hg4 0.470 0.896 0.244
Hg5 0.574 0.292 0.783
Hg6 0.625 0.832 0.676
Hg7 0.708 0.426 0.217
Hg8 0.734 0.947 0.122

Top 10 peaks for 2θ = 5–70°, in order of rising 2θ:
2θ/deg, I/Imax
28.20, 84
32.47, 51
32.61, 100
33.29, 64
34.48, 82
34.63, 49
35.27, 59
35.51, 92
36.38, 56
40.45, 61